Diffraction record for CeTh2FeHg. The XRD peak list is computed, not measured: it uses a crystal structure in Alexandria, relaxed with GGA-PBE and Cu Kα (weighted mean of Kα1 and Kα2).

The 12 most intense peaks (2θ = 10–90°), low angle first:
| index | 2θ (°) | I/Imax |
| --- | --- | --- |
| 1 0 2 | 28.25 | 22.4 |
| 0 1 2 | 28.74 | 60.6 |
| 2 0 1 | 30.73 | 29.8 |
| 2 1 -1 | 33.08 | 100.0 |
| 0 2 0 | 33.45 | 49.8 |
| 1 0 3 | 39.28 | 14.6 |
| 1 1 -3 | 40.38 | 20.6 |
| 2 0 -3 | 42.67 | 11.6 |
| 1 2 2 | 44.34 | 13.5 |
| 2 2 1 | 46.05 | 18.0 |
| 2 3 -1 | 59.56 | 18.9 |
| 4 2 -2 | 69.41 | 11.1 |

Structure:
Cell: 6.6085 5.3581 7.6656 Å, 90.00 95.94 90.00°
Atoms (fractional coordinates):
1 Ce 0.1674 0.2500 0.1034
2 Ce 0.8326 0.7500 0.8966
3 Th 0.1114 0.7500 0.4547
4 Th 0.4492 0.2500 0.6912
5 Th 0.5508 0.7500 0.3088
6 Th 0.8886 0.2500 0.5453
7 Fe 0.3105 0.2500 0.3631
8 Fe 0.6895 0.7500 0.6369
9 Hg 0.3180 0.7500 0.8881
10 Hg 0.6820 0.2500 0.1119